No. 1
# Ba2YOsSe6
Simulated X-ray diffraction stick pattern, Cu Ka. Input: a DFT-relaxed cell (PBE, OQMD).

Structural model:
Lattice parameters (Å, degrees): 7.234 7.279 7.308 62.31 61.45 60.72
Space group P-1 (No. 2)
Asymmetric unit:
Ba: 0.248 0.256 0.246 [2 per cell]
Y: 0.500 0.500 0.500 [1 per cell]
Os: 0.000 0.000 0.000 [1 per cell]
Se: 0.198 0.276 0.795 [2 per cell]
Se: 0.225 0.838 0.689 [2 per cell]
Se: 0.290 0.731 0.184 [2 per cell]

Most intense lines, 2θ from 10° to 90°, sorted by position:
- (1 0 -1), d = 3.713 Å, 24.0 deg, rel. 39
- (1 -1 0), d = 3.667 Å, 24.3 deg, rel. 44
- (1 1 2), d = 3.644 Å, 24.4 deg, rel. 86
- (2 1 1), d = 3.616 Å, 24.6 deg, rel. 37
- (2 2 0), d = 2.622 Å, 34.2 deg, rel. 100
- (2 0 2), d = 2.600 Å, 34.5 deg, rel. 91
- (0 2 2), d = 2.575 Å, 34.8 deg, rel. 78
- (1 -2 1), d = 2.148 Å, 42.1 deg, rel. 36
- (-2 1 1), d = 2.116 Å, 42.7 deg, rel. 32
- (4 2 2), d = 1.808 Å, 50.5 deg, rel. 36


No. 2
# Dy2Y2CBrCl4
Simulated X-ray diffraction stick pattern, Cu Ka. Input: a DFT-relaxed cell (PBE, OQMD).

Structural model:
Lattice parameters (Å, degrees): 17.033 3.764 8.068 90.00 104.06 90.00
Space group C2/m (No. 12)
Asymmetric unit:
Dy: 0.145 0.000 0.080 [4 per cell]
Y: 0.001 0.500 0.798 [4 per cell]
C: 0.000 0.000 0.000 [2 per cell]
Br: 0.000 0.000 0.500 [2 per cell]
Cl: 0.165 0.500 0.329 [4 per cell]
Cl: 0.171 0.500 0.849 [4 per cell]

Most intense lines, 2θ from 10° to 90°, sorted by position:
- (2 0 0), d = 8.261 Å, 10.7 deg, rel. 21
- (0 0 1), d = 7.827 Å, 11.3 deg, rel. 90
- (2 0 1), d = 5.097 Å, 17.4 deg, rel. 28
- (4 0 -1), d = 4.086 Å, 21.8 deg, rel. 32
- (3 1 -1), d = 3.034 Å, 29.4 deg, rel. 26
- (6 0 0), d = 2.757 Å, 32.5 deg, rel. 78
- (1 1 -2), d = 2.752 Å, 32.5 deg, rel. 100
- (4 0 -3), d = 2.500 Å, 35.9 deg, rel. 26
- (7 1 -2), d = 1.951 Å, 46.6 deg, rel. 24
- (5 1 2), d = 1.942 Å, 46.8 deg, rel. 26


No. 3
# ReH11C12O
Simulated X-ray diffraction stick pattern, Cu Ka. Input: a DFT-relaxed cell (PBE, OQMD).

Structural model:
Lattice parameters (Å, degrees): 11.668 10.850 7.980 90.00 111.92 90.00
Space group Cc (No. 9)
Asymmetric unit:
Re: 0.000 0.235 0.000 [4 per cell]
H: 0.052 0.253 0.394 [4 per cell]
H: 0.121 0.011 0.644 [4 per cell]
H: 0.198 0.302 0.859 [4 per cell]
H: 0.218 0.409 0.358 [4 per cell]
H: 0.239 0.171 0.390 [4 per cell]
H: 0.267 0.153 0.121 [4 per cell]
H: 0.320 0.322 0.678 [4 per cell]
H: 0.340 0.377 0.146 [4 per cell]
H: 0.407 0.476 0.906 [4 per cell]
H: 0.419 0.004 0.417 [4 per cell]
H: 0.487 0.212 0.123 [4 per cell]
C: 0.017 0.220 0.731 [4 per cell]
C: 0.026 0.398 0.179 [4 per cell]
C: 0.093 0.051 0.028 [4 per cell]
C: 0.138 0.228 0.867 [4 per cell]
C: 0.148 0.452 0.237 [4 per cell]
C: 0.176 0.143 0.015 [4 per cell]
C: 0.329 0.166 0.499 [4 per cell]
C: 0.372 0.245 0.653 [4 per cell]
C: 0.423 0.077 0.513 [4 per cell]
C: 0.434 0.373 0.245 [4 per cell]
C: 0.472 0.457 0.393 [4 per cell]
C: 0.494 0.207 0.765 [4 per cell]
O: 0.177 0.459 0.662 [4 per cell]

Most intense lines, 2θ from 10° to 90°, sorted by position:
- (1 1 -1), d = 6.207 Å, 14.3 deg, rel. 100
- (2 0 0), d = 5.417 Å, 16.4 deg, rel. 73
- (1 1 1), d = 4.736 Å, 18.7 deg, rel. 64
- (2 2 0), d = 3.833 Å, 23.2 deg, rel. 33
- (3 1 -1), d = 3.637 Å, 24.5 deg, rel. 16
- (0 2 2), d = 3.058 Å, 29.2 deg, rel. 12
- (1 3 1), d = 2.981 Å, 30.0 deg, rel. 13
- (0 4 0), d = 2.710 Å, 33.1 deg, rel. 11
- (4 2 0), d = 2.423 Å, 37.1 deg, rel. 17
- (1 1 3), d = 2.187 Å, 41.3 deg, rel. 11


Copy entry 2 word for word.
# Dy2Y2CBrCl4
Simulated X-ray diffraction stick pattern, Cu Ka. Input: a DFT-relaxed cell (PBE, OQMD).

Structural model:
Lattice parameters (Å, degrees): 17.033 3.764 8.068 90.00 104.06 90.00
Space group C2/m (No. 12)
Asymmetric unit:
Dy: 0.145 0.000 0.080 [4 per cell]
Y: 0.001 0.500 0.798 [4 per cell]
C: 0.000 0.000 0.000 [2 per cell]
Br: 0.000 0.000 0.500 [2 per cell]
Cl: 0.165 0.500 0.329 [4 per cell]
Cl: 0.171 0.500 0.849 [4 per cell]

Most intense lines, 2θ from 10° to 90°, sorted by position:
- (2 0 0), d = 8.261 Å, 10.7 deg, rel. 21
- (0 0 1), d = 7.827 Å, 11.3 deg, rel. 90
- (2 0 1), d = 5.097 Å, 17.4 deg, rel. 28
- (4 0 -1), d = 4.086 Å, 21.8 deg, rel. 32
- (3 1 -1), d = 3.034 Å, 29.4 deg, rel. 26
- (6 0 0), d = 2.757 Å, 32.5 deg, rel. 78
- (1 1 -2), d = 2.752 Å, 32.5 deg, rel. 100
- (4 0 -3), d = 2.500 Å, 35.9 deg, rel. 26
- (7 1 -2), d = 1.951 Å, 46.6 deg, rel. 24
- (5 1 2), d = 1.942 Å, 46.8 deg, rel. 26


Repeat the second record exactly.
# Dy2Y2CBrCl4
Simulated X-ray diffraction stick pattern, Cu Ka. Input: a DFT-relaxed cell (PBE, OQMD).

Structural model:
Lattice parameters (Å, degrees): 17.033 3.764 8.068 90.00 104.06 90.00
Space group C2/m (No. 12)
Asymmetric unit:
Dy: 0.145 0.000 0.080 [4 per cell]
Y: 0.001 0.500 0.798 [4 per cell]
C: 0.000 0.000 0.000 [2 per cell]
Br: 0.000 0.000 0.500 [2 per cell]
Cl: 0.165 0.500 0.329 [4 per cell]
Cl: 0.171 0.500 0.849 [4 per cell]

Most intense lines, 2θ from 10° to 90°, sorted by position:
- (2 0 0), d = 8.261 Å, 10.7 deg, rel. 21
- (0 0 1), d = 7.827 Å, 11.3 deg, rel. 90
- (2 0 1), d = 5.097 Å, 17.4 deg, rel. 28
- (4 0 -1), d = 4.086 Å, 21.8 deg, rel. 32
- (3 1 -1), d = 3.034 Å, 29.4 deg, rel. 26
- (6 0 0), d = 2.757 Å, 32.5 deg, rel. 78
- (1 1 -2), d = 2.752 Å, 32.5 deg, rel. 100
- (4 0 -3), d = 2.500 Å, 35.9 deg, rel. 26
- (7 1 -2), d = 1.951 Å, 46.6 deg, rel. 24
- (5 1 2), d = 1.942 Å, 46.8 deg, rel. 26